# Mn3Cr5O16
Simulated X-ray diffraction stick pattern, Cu Kα (λ = 1.5418 Å). Input: a GGA+U-relaxed structure.
Neutral-atom scattering factors, no anomalous dispersion.

Peak list (10 most intense, 10° ≤ 2θ ≤ 90°, by angle)
19.96 deg, d = 4.449 Å, rel. 61
20.22 deg, d = 4.393 Å, rel. 100
26.74 deg, d = 3.333 Å, rel. 19
36.90 deg, d = 2.436 Å, rel. 35
37.02 deg, d = 2.428 Å, rel. 38
41.04 deg, d = 2.199 Å, rel. 19
41.16 deg, d = 2.193 Å, rel. 22
47.35 deg, d = 1.920 Å, rel. 24
63.81 deg, d = 1.459 Å, rel. 29
63.93 deg, d = 1.456 Å, rel. 23

Cell and atoms:
```
data_Mn3Cr5O16
_chemical_formula_sum 'Mn6 Cr10 O32'
_cell_length_a 10.1127
_cell_length_b 5.8256
_cell_length_c 8.8984
_cell_angle_alpha 90.00
_cell_angle_beta 90.27
_cell_angle_gamma 90.00
_symmetry_space_group_name_H-M 'C 1 m 1'
_symmetry_Int_Tables_number 8
_symmetry_space_group_name_Hall 'C -2y'
loop_
_atom_site_label
_atom_site_type_symbol
_atom_site_fract_x
_atom_site_fract_y
_atom_site_fract_z
_atom_site_occupancy
Mn1 Mn 0.0000 0.0000 0.0000 1
Mn2 Mn 0.4129 0.2463 0.5009 1
Cr1 Cr 0.1577 0.0000 0.7237 1
Cr2 Cr 0.1638 0.5000 0.5095 1
Cr3 Cr 0.2483 0.2510 0.0055 1
Cr4 Cr 0.4958 0.0000 0.2258 1
O1 O 0.0663 0.2861 0.3758 1
O2 O 0.0898 0.2153 0.8735 1
O3 O 0.1555 0.5000 0.1039 1
O4 O 0.1596 0.0000 0.1143 1
O5 O 0.2419 0.2482 0.6089 1
O6 O 0.2998 0.0000 0.8756 1
O7 O 0.3314 0.5000 0.3970 1
O8 O 0.3329 0.5000 0.8963 1
O9 O 0.3495 0.0000 0.3740 1
O10 O 0.4118 0.2451 0.1087 1
O11 O 0.4904 0.0000 0.6137 1
O12 O 0.4984 0.5000 0.6104 1
```